Computed powder diffractogram of Hf4Ga3Ni for CuKα, from a DFT-relaxed cell (GGA-PBE, Alexandria).
Lines closer than 0.1° are merged.

Principal peaks in the range 2θ from 10° to 80°, in order of rising 2θ:
2θ/deg	I (rel.)	hkl
29.2	30	0 1 2
34.5	100	1 1 1
35.5	25	0 0 4
35.8	41	1 0 3
42.9	22	0 1 4
43.1	32	1 1 3

Crystal structure
Unit cell a=3.763 b=3.842 c=10.102 alpha=90.00 beta=90.00 gamma=90.00
Positions (direct):
Hf  0.000  0.000  0.000
Hf  0.000  0.500  0.282
Hf  0.500  0.000  0.487
Hf  0.500  0.500  0.793
Ga  0.000  0.000  0.722
Ga  0.000  0.500  0.561
Ga  0.500  0.500  0.068
Ni  0.500  0.000  0.229